(1)
TbDy3Ir: computed X-ray diffraction stick pattern (Cu Ka), based on a PBE-relaxed structure.
Lines closer than 0.1° are merged.

Atomic structure:
Cell: 7.621 6.527 6.186 Å, 90.00 90.00 90.00°
Atoms (fractional coordinates):
1 Tb 0.000 0.152 0.000
2 Tb 0.500 0.848 0.500
3 Dy 0.000 0.847 0.493
4 Dy 0.250 0.314 0.497
5 Dy 0.250 0.686 0.997
6 Dy 0.500 0.153 0.993
7 Dy 0.750 0.314 0.497
8 Dy 0.750 0.686 0.997
9 Ir 0.000 0.501 0.747
10 Ir 0.500 0.499 0.247

Principal peaks in the range 2θ from 5° to 70°, in order of rising 2θ:
d [Å]  I_rel
3.868  25
2.905  100
2.887  45
2.254  40
2.245  21
1.905  23
1.889  30
1.747  23

(2)
Ac3Re2N8: computed X-ray diffraction stick pattern (Cu Ka), based on a PBE-relaxed structure.
Lines closer than 0.1° are merged.

Atomic structure:
Cell: 7.870 7.870 7.870 Å, 43.54 43.54 43.54°
Atoms (fractional coordinates):
1 Ac 0.000 0.000 0.000
2 Ac 0.204 0.204 0.204
3 Ac 0.796 0.796 0.796
4 Re 0.407 0.407 0.407
5 Re 0.593 0.593 0.593
6 N 0.224 0.734 0.734
7 N 0.266 0.266 0.776
8 N 0.266 0.776 0.266
9 N 0.322 0.322 0.322
10 N 0.678 0.678 0.678
11 N 0.734 0.224 0.734
12 N 0.734 0.734 0.224
13 N 0.776 0.266 0.266

Principal peaks in the range 2θ from 5° to 70°, in order of rising 2θ:
d [Å]  I_rel
3.261  100
2.919  84
2.175  38
1.966  26
1.744  35
1.685  17
1.630  14
1.423  21

(3)
Zr2GeH: computed X-ray diffraction stick pattern (Cu Ka), based on a PBE-relaxed structure.
Lines closer than 0.1° are merged.

Atomic structure:
Cell: 3.765 3.849 9.040 Å, 90.00 102.02 90.00°
Atoms (fractional coordinates):
1 Zr 0.089 0.000 0.177
2 Zr 0.297 0.003 0.594
3 Zr 0.703 0.503 0.406
4 Zr 0.911 0.500 0.823
5 Ge 0.451 0.999 0.903
6 Ge 0.549 0.499 0.097
7 H 0.194 0.742 0.388
8 H 0.806 0.242 0.612

Principal peaks in the range 2θ from 5° to 70°, in order of rising 2θ:
d [Å]  I_rel
2.661  100
2.578  58
2.448  27
2.340  44
2.142  28
1.925  25
1.882  24
1.542  24

(4)
Li2GaSi3Pt4: computed X-ray diffraction stick pattern (Cu Ka), based on a PBE-relaxed structure.
Lines closer than 0.1° are merged.

Atomic structure:
Cell: 3.979 3.979 10.536 Å, 90.00 90.00 90.00°
Atoms (fractional coordinates):
1 Li 0.000 0.500 0.248
2 Li 0.500 0.000 0.752
3 Ga 0.000 0.000 0.500
4 Si 0.000 0.500 0.863
5 Si 0.500 0.000 0.137
6 Si 0.500 0.500 0.500
7 Pt 0.000 0.000 0.000
8 Pt 0.000 0.500 0.642
9 Pt 0.500 0.000 0.358
10 Pt 0.500 0.500 0.000

Principal peaks in the range 2θ from 5° to 70°, in order of rising 2θ:
d [Å]  I_rel
5.268  67
3.722  90
3.512  56
3.175  54
2.718  82
2.482  95
1.989  63
1.923  100

(5)
VCdBr4: computed X-ray diffraction stick pattern (Cu Ka), based on a PBE-relaxed structure.
Lines closer than 0.1° are merged.

Atomic structure:
Cell: 7.585 7.585 6.919 Å, 110.99 110.99 30.06°
Atoms (fractional coordinates):
1 V 0.000 0.000 0.000
2 Cd 0.500 0.500 0.500
3 Br 0.112 0.112 0.400
4 Br 0.392 0.392 0.065
5 Br 0.608 0.608 0.935
6 Br 0.888 0.888 0.600

Principal peaks in the range 2θ from 5° to 70°, in order of rising 2θ:
d [Å]  I_rel
6.803  98
3.213  34
2.988  100
2.561  37
2.347  38
1.981  29
1.952  19
1.938  34

(6)
AgH6Pd2Pt2: computed X-ray diffraction stick pattern (Cu Ka), based on a PBE-relaxed structure.
Lines closer than 0.1° are merged.

Atomic structure:
Cell: 4.889 4.995 5.429 Å, 66.89 64.79 70.89°
Atoms (fractional coordinates):
1 Ag 0.000 0.000 0.000
2 H 0.038 0.738 0.546
3 H 0.424 0.316 0.495
4 H 0.495 0.286 0.958
5 H 0.505 0.714 0.042
6 H 0.576 0.684 0.505
7 H 0.962 0.262 0.454
8 Pd 0.327 0.052 0.299
9 Pd 0.673 0.948 0.701
10 Pt 0.251 0.517 0.767
11 Pt 0.749 0.483 0.233

Principal peaks in the range 2θ from 5° to 70°, in order of rising 2θ:
d [Å]  I_rel
3.926  61
3.880  72
2.487  36
2.452  33
2.405  100
2.296  72
2.254  53
2.168  43

(7)
Sr6GaIr: computed X-ray diffraction stick pattern (Cu Ka), based on a PBE-relaxed structure.
Lines closer than 0.1° are merged.

Atomic structure:
Cell: 4.225 9.012 9.012 Å, 83.45 90.00 90.00°
Atoms (fractional coordinates):
1 Sr 0.000 0.000 0.000
2 Sr 0.000 0.557 0.872
3 Sr 0.000 0.872 0.557
4 Sr 0.500 0.262 0.688
5 Sr 0.500 0.267 0.267
6 Sr 0.500 0.688 0.262
7 Ga 0.000 0.493 0.493
8 Ir 0.500 0.593 0.593

Principal peaks in the range 2θ from 5° to 70°, in order of rising 2θ:
d [Å]  I_rel
8.953  100
6.726  26
3.823  30
3.073  64
2.981  62
2.410  22
2.113  18
1.881  21

(8)
BeH: computed X-ray diffraction stick pattern (Cu Ka), based on a PBE-relaxed structure.
Lines closer than 0.1° are merged.

Atomic structure:
Cell: 2.081 2.549 6.177 Å, 88.90 85.94 66.75°
Atoms (fractional coordinates):
1 Be 0.125 0.220 0.146
2 Be 0.875 0.780 0.854
3 H 0.419 0.760 0.691
4 H 0.581 0.240 0.309

Principal peaks in the range 2θ from 5° to 70°, in order of rising 2θ:
d [Å]  I_rel
6.161  100
3.081  9
2.196  16
2.182  10
2.054  6
1.856  6
1.836  6
1.788  6